Ta7Nb2Mo2: theoretical powder diffractogram (Cu Kα X-rays), based on a structure optimized by DFT (GGA-PBE).

abc: 6.5675 8.7094 7.4595
angles: 90.00 107.97 90.00
Space group C2/m (No. 12)
One atom of each set of equivalent atoms:
Ta1 0.0000 0.0000 0.0000 (multiplicity 2)
Ta2 0.1858 0.0000 0.4379 (multiplicity 4)
Ta3 0.2181 0.2983 0.1806 (multiplicity 8)
Nb1 0.0934 0.5000 0.8324 (multiplicity 4)
Mo1 0.0000 0.2680 0.5000 (multiplicity 4)

The 12 most intense peaks (2θ from 5° to 70°), sorted by position:
Position (°2θ)  d_spacing  intensity  (hkl)
32.55  2.751  35  0 2 2
34.27  2.616  50  1 1 2
34.41  2.606  41  2 2 -1
34.77  2.580  52  1 3 -1
37.72  2.385  43  1 1 -3
38.00  2.368  97  0 0 3
38.07  2.364  100  2 2 -2
39.90  2.259  30  1 3 -2
40.64  2.220  90  2 2 1
41.47  2.177  45  0 4 0
42.59  2.123  46  3 1 -1
68.89  1.363  31  3 5 -1